Record 1
Calculated X-ray powder pattern of MgP4 for Cu Kα (λ = 1.5418 Å), from the GGA-PBE geometry in Alexandria.

The 8 most intense peaks (2θ from 15° to 90°), low angle first:
Position (°2θ)  I (rel.)
24.6  246
28.5  1000
29.5  178
32.5  786
42.8  261
45.7  332
56.8  224
57.6  189

Crystal structure
```
MgP4
1.0
5.187 0.000 0.000
0.000 5.119 0.000
-1.130 0.000 7.510
Mg P
2 8
Cartesian
0.000 0.000 0.000 Mg
-0.565 2.560 3.755 Mg
0.459 1.064 5.661 P
1.024 1.496 1.906 P
1.945 3.116 0.747 P
1.380 4.563 4.502 P
2.677 0.556 3.007 P
2.112 2.004 6.762 P
3.032 3.623 5.604 P
3.597 4.055 1.849 P
```

---

Record 2
Calculated X-ray powder pattern of Er3Cu4Ge4 for Cu Kα (λ = 1.5418 Å), from the GGA-PBE geometry in Alexandria.

The 8 most intense peaks (2θ from 15° to 90°), low angle first:
Position (°2θ)  I (rel.)
35.1  1000
36.3  831
39.0  161
43.3  304
45.4  233
48.0  120
64.6  213
80.9  123

Crystal structure
```
Er3Cu4Ge4
1.0
-2.088 3.320 6.926
2.088 -3.320 6.926
2.088 3.320 -6.926
Er Cu Ge
3 4 4
Cartesian
0.000 0.000 0.000 Er
2.088 0.000 5.129 Er
0.000 3.320 1.797 Er
2.088 1.265 -2.347 Cu
2.088 1.265 2.347 Cu
0.000 2.055 4.579 Cu
0.000 2.055 9.272 Cu
0.000 0.000 3.001 Ge
2.088 2.043 0.000 Ge
0.000 1.277 6.926 Ge
0.000 0.000 10.850 Ge
```

---

Record 3
Calculated X-ray powder pattern of Mn5Sb3 for Cu Kα (λ = 1.5418 Å), from the GGA-PBE geometry in Alexandria.

The 8 most intense peaks (2θ from 15° to 90°), low angle first:
Position (°2θ)  I (rel.)
28.5  556
34.5  281
39.1  1000
39.8  338
41.6  495
49.6  271
64.9  208
79.5  255

Crystal structure
```
Mn5Sb3
1.0
7.855 0.000 0.000
-3.927 6.802 0.000
0.000 0.000 5.202
Mn Sb
10 6
Cartesian
-0.829 1.436 1.300 Mn
-3.098 5.366 3.901 Mn
1.658 0.000 1.300 Mn
0.829 1.436 3.901 Mn
0.000 4.535 0.000 Mn
0.000 4.535 2.601 Mn
3.927 2.267 0.000 Mn
3.927 2.267 2.601 Mn
6.197 0.000 3.901 Mn
3.098 5.366 1.300 Mn
-1.538 2.664 3.901 Sb
-2.389 4.138 1.300 Sb
3.076 0.000 3.901 Sb
1.538 2.664 1.300 Sb
4.779 0.000 1.300 Sb
2.389 4.138 3.901 Sb
```